1.
Structure and simulated powder diffractogram of Li3HgPd7 (a DFT-relaxed cell (PBE, Alexandria); Cu Kα (weighted mean of Kα1 and Kα2)).
Intensities are scaled so that the largest is 100.

Atomic structure:
```
data_Li3HgPd7
_chemical_formula_sum 'Li3 Hg1 Pd7'
_cell_length_a 5.5532
_cell_length_b 5.5532
_cell_length_c 6.6518
_cell_angle_alpha 90.00
_cell_angle_beta 90.00
_cell_angle_gamma 120.00
_symmetry_space_group_name_H-M 'P 3 m 1'
_symmetry_Int_Tables_number 156
_symmetry_space_group_name_Hall 'P 3 -2"'
loop_
_atom_site_label
_atom_site_type_symbol
_atom_site_fract_x
_atom_site_fract_y
_atom_site_fract_z
Li1 Li 0.1709 0.3419 0.0000
Hg1 Hg 0.0000 0.0000 0.6652
Pd1 Pd 0.3333 0.6667 0.3225
Pd2 Pd 0.3373 0.1687 0.3063
Pd3 Pd 0.5010 0.0020 0.6752
```

The 10 most intense peaks (2θ from 15° to 90°), by angle:
3.326 Å, I = 29; 2.405 Å, I = 22; 2.261 Å, I = 100; 2.217 Å, I = 22; 1.949 Å, I = 53; 1.630 Å, I = 15; 1.388 Å, I = 16; 1.368 Å, I = 21; 1.183 Å, I = 12; 1.177 Å, I = 17



2.
Structure and simulated powder diffractogram of Li4Hg3Pd5 (a DFT-relaxed cell (PBE, Alexandria); Cu Kα (weighted mean of Kα1 and Kα2)).
Intensities are scaled so that the largest is 100.

Atomic structure:
```
data_Li4Hg3Pd5
_chemical_formula_sum 'Li4 Hg3 Pd5'
_cell_length_a 4.5044
_cell_length_b 4.8781
_cell_length_c 10.1980
_cell_angle_alpha 77.15
_cell_angle_beta 77.57
_cell_angle_gamma 69.24
_symmetry_space_group_name_H-M 'P -1'
_symmetry_Int_Tables_number 2
_symmetry_space_group_name_Hall '-P 1'
loop_
_atom_site_label
_atom_site_type_symbol
_atom_site_fract_x
_atom_site_fract_y
_atom_site_fract_z
Li1 Li 0.0738 0.0223 0.3454
Li2 Li 0.3710 0.7545 0.0285
Hg1 Hg 0.2211 0.2132 0.7928
Hg2 Hg 0.5000 0.0000 0.5000
Pd1 Pd 0.0000 0.5000 0.5000
Pd2 Pd 0.0583 0.2556 0.0977
Pd3 Pd 0.4273 0.3867 0.2537
```

The 10 most intense peaks (2θ from 15° to 90°), by angle:
4.059 Å, I = 68; 3.710 Å, I = 95; 3.277 Å, I = 63; 2.568 Å, I = 36; 2.339 Å, I = 100; 2.271 Å, I = 44; 2.237 Å, I = 49; 2.185 Å, I = 87; 2.161 Å, I = 38; 2.122 Å, I = 48



3.
Structure and simulated powder diffractogram of Li9HgPd2 (a DFT-relaxed cell (PBE, Alexandria); Cu Kα (weighted mean of Kα1 and Kα2)).
Intensities are scaled so that the largest is 100.

Atomic structure:
```
data_Li9HgPd2
_chemical_formula_sum 'Li9 Hg1 Pd2'
_cell_length_a 4.9915
_cell_length_b 4.9939
_cell_length_c 9.4432
_cell_angle_alpha 90.03
_cell_angle_beta 105.25
_cell_angle_gamma 119.79
_symmetry_space_group_name_H-M 'P -1'
_symmetry_Int_Tables_number 2
_symmetry_space_group_name_Hall '-P 1'
loop_
_atom_site_label
_atom_site_type_symbol
_atom_site_fract_x
_atom_site_fract_y
_atom_site_fract_z
Li1 Li 0.0000 0.0000 0.0000
Li2 Li 0.1446 0.7140 0.2318
Li3 Li 0.2006 0.9171 0.7682
Li4 Li 0.3279 0.1637 0.4922
Li5 Li 0.4857 0.5711 0.7686
Hg1 Hg 0.0000 0.5000 0.5000
Pd1 Pd 0.3362 0.6690 0.0052
```

The 10 most intense peaks (2θ from 15° to 90°), by angle:
4.499 Å, I = 69; 4.274 Å, I = 100; 3.377 Å, I = 59; 2.879 Å, I = 33; 2.504 Å, I = 17; 2.496 Å, I = 33; 2.249 Å, I = 15; 2.188 Å, I = 26; 2.183 Å, I = 51; 1.672 Å, I = 20



4.
Structure and simulated powder diffractogram of Li3HgPd6 (a DFT-relaxed cell (PBE, Alexandria); Cu Kα (weighted mean of Kα1 and Kα2)).
Intensities are scaled so that the largest is 100.

Atomic structure:
```
data_Li3HgPd6
_chemical_formula_sum 'Li12 Hg4 Pd24'
_cell_length_a 9.4814
_cell_length_b 11.5221
_cell_length_c 5.5108
_cell_angle_alpha 90.00
_cell_angle_beta 90.00
_cell_angle_gamma 90.00
_symmetry_space_group_name_H-M 'C m c 21'
_symmetry_Int_Tables_number 36
_symmetry_space_group_name_Hall 'C 2c -2'
loop_
_atom_site_label
_atom_site_type_symbol
_atom_site_fract_x
_atom_site_fract_y
_atom_site_fract_z
Li1 Li 0.0000 0.0034 0.0000
Li2 Li 0.1244 0.3759 0.0677
Hg1 Hg 0.0000 0.2102 0.7270
Pd1 Pd 0.0000 0.1911 0.2328
Pd2 Pd 0.0000 0.4330 0.5004
Pd3 Pd 0.2298 0.0262 0.2713
Pd4 Pd 0.2384 0.2933 0.4516
```

The 10 most intense peaks (2θ from 15° to 90°), by angle:
3.661 Å, I = 16; 3.560 Å, I = 20; 2.881 Å, I = 16; 2.579 Å, I = 16; 2.440 Å, I = 20; 2.370 Å, I = 44; 2.248 Å, I = 27; 2.201 Å, I = 100; 1.829 Å, I = 15; 1.334 Å, I = 16



5.
Structure and simulated powder diffractogram of Li6Hg2Pd (a DFT-relaxed cell (PBE, Alexandria); Cu Kα (weighted mean of Kα1 and Kα2)).
Intensities are scaled so that the largest is 100.

Atomic structure:
```
data_Li6Hg2Pd
_chemical_formula_sum 'Li6 Hg2 Pd1'
_cell_length_a 7.7861
_cell_length_b 7.7861
_cell_length_c 2.9802
_cell_angle_alpha 90.00
_cell_angle_beta 90.00
_cell_angle_gamma 120.00
_symmetry_space_group_name_H-M 'P -6 2 m'
_symmetry_Int_Tables_number 189
_symmetry_space_group_name_Hall 'P -6 -2'
loop_
_atom_site_label
_atom_site_type_symbol
_atom_site_fract_x
_atom_site_fract_y
_atom_site_fract_z
Li1 Li 0.0000 0.2767 0.0000
Li2 Li 0.0000 0.6404 0.5000
Hg1 Hg 0.3333 0.6667 0.0000
Pd1 Pd 0.0000 0.0000 0.5000
```

The 10 most intense peaks (2θ from 15° to 90°), by angle:
3.893 Å, I = 100; 2.726 Å, I = 31; 2.366 Å, I = 20; 2.248 Å, I = 27; 2.233 Å, I = 19; 1.947 Å, I = 16; 1.937 Å, I = 24; 1.584 Å, I = 12; 1.471 Å, I = 13; 1.392 Å, I = 10



6.
Structure and simulated powder diffractogram of LiHg6Pd5 (a DFT-relaxed cell (PBE, Alexandria); Cu Kα (weighted mean of Kα1 and Kα2)).
Intensities are scaled so that the largest is 100.

Atomic structure:
```
data_LiHg6Pd5
_chemical_formula_sum 'Li2 Hg12 Pd10'
_cell_length_a 5.4757
_cell_length_b 9.5465
_cell_length_c 8.8295
_cell_angle_alpha 90.00
_cell_angle_beta 101.90
_cell_angle_gamma 90.00
_symmetry_space_group_name_H-M 'C 1 2/m 1'
_symmetry_Int_Tables_number 12
_symmetry_space_group_name_Hall '-C 2y'
loop_
_atom_site_label
_atom_site_type_symbol
_atom_site_fract_x
_atom_site_fract_y
_atom_site_fract_z
Li1 Li 0.0000 0.0000 0.0000
Hg1 Hg 0.2480 0.3326 0.7486
Hg2 Hg 0.2476 0.5000 0.2450
Pd1 Pd 0.0000 0.1597 0.5000
Pd2 Pd 0.0000 0.3301 0.0000
Pd3 Pd 0.0000 0.5000 0.5000
```

The 10 most intense peaks (2θ from 15° to 90°), by angle:
4.320 Å, I = 25; 2.691 Å, I = 17; 2.533 Å, I = 100; 2.522 Å, I = 50; 2.160 Å, I = 32; 2.097 Å, I = 58; 2.092 Å, I = 29; 1.583 Å, I = 24; 1.396 Å, I = 16; 1.277 Å, I = 24



7.
Structure and simulated powder diffractogram of Li6HgPd3 (a DFT-relaxed cell (PBE, Alexandria); Cu Kα (weighted mean of Kα1 and Kα2)).
Intensities are scaled so that the largest is 100.

Atomic structure:
```
data_Li6HgPd3
_chemical_formula_sum 'Li12 Hg2 Pd6'
_cell_length_a 7.6499
_cell_length_b 4.3268
_cell_length_c 9.2123
_cell_angle_alpha 90.00
_cell_angle_beta 104.61
_cell_angle_gamma 90.00
_symmetry_space_group_name_H-M 'P 1 21/m 1'
_symmetry_Int_Tables_number 11
_symmetry_space_group_name_Hall '-P 2yb'
loop_
_atom_site_label
_atom_site_type_symbol
_atom_site_fract_x
_atom_site_fract_y
_atom_site_fract_z
Li1 Li 0.0394 0.2500 0.4005
Li2 Li 0.1255 0.7500 0.1961
Li3 Li 0.2275 0.2500 0.9810
Li4 Li 0.3234 0.7500 0.7833
Li5 Li 0.3385 0.2500 0.2976
Li6 Li 0.4361 0.2500 0.5879
Hg1 Hg 0.4433 0.7500 0.1070
Pd1 Pd 0.0487 0.7500 0.9009
Pd2 Pd 0.1478 0.2500 0.6899
Pd3 Pd 0.2459 0.7500 0.4890
```

The 10 most intense peaks (2θ from 15° to 90°), by angle:
3.892 Å, I = 20; 3.149 Å, I = 54; 3.061 Å, I = 100; 2.195 Å, I = 99; 2.165 Å, I = 45; 1.784 Å, I = 42; 1.400 Å, I = 19; 1.377 Å, I = 17; 1.369 Å, I = 16; 1.255 Å, I = 23



8.
Structure and simulated powder diffractogram of Li5Hg2Pd2 (a DFT-relaxed cell (PBE, Alexandria); Cu Kα (weighted mean of Kα1 and Kα2)).
Intensities are scaled so that the largest is 100.

Atomic structure:
```
data_Li5Hg2Pd2
_chemical_formula_sum 'Li10 Hg4 Pd4'
_cell_length_a 8.2345
_cell_length_b 4.5010
_cell_length_c 7.7775
_cell_angle_alpha 90.00
_cell_angle_beta 90.00
_cell_angle_gamma 90.00
_symmetry_space_group_name_H-M 'A m m 2'
_symmetry_Int_Tables_number 38
_symmetry_space_group_name_Hall 'A 2 -2'
loop_
_atom_site_label
_atom_site_type_symbol
_atom_site_fract_x
_atom_site_fract_y
_atom_site_fract_z
Li1 Li 0.0000 0.0000 0.0000
Li2 Li 0.1742 0.0000 0.6636
Li3 Li 0.3347 0.0000 0.3275
Hg1 Hg 0.0000 0.0000 0.3354
Hg2 Hg 0.5000 0.0000 0.6603
Pd1 Pd 0.3276 0.0000 0.9932
```

The 10 most intense peaks (2θ from 15° to 90°), by angle:
4.117 Å, I = 14; 3.520 Å, I = 100; 2.829 Å, I = 45; 2.248 Å, I = 51; 2.243 Å, I = 44; 1.895 Å, I = 18; 1.588 Å, I = 15; 1.518 Å, I = 14; 1.296 Å, I = 13; 1.171 Å, I = 13



9.
Structure and simulated powder diffractogram of Li2Hg3Pd2 (a DFT-relaxed cell (PBE, Alexandria); Cu Kα (weighted mean of Kα1 and Kα2)).
Intensities are scaled so that the largest is 100.

Atomic structure:
```
data_Li2Hg3Pd2
_chemical_formula_sum 'Li4 Hg6 Pd4'
_cell_length_a 4.3510
_cell_length_b 8.6017
_cell_length_c 7.1592
_cell_angle_alpha 90.00
_cell_angle_beta 90.28
_cell_angle_gamma 90.00
_symmetry_space_group_name_H-M 'P 1 21/c 1'
_symmetry_Int_Tables_number 14
_symmetry_space_group_name_Hall '-P 2ybc'
loop_
_atom_site_label
_atom_site_type_symbol
_atom_site_fract_x
_atom_site_fract_y
_atom_site_fract_z
Li1 Li 0.0005 0.2499 0.2501
Hg1 Hg 0.0000 0.0000 0.0000
Hg2 Hg 0.4975 0.0000 0.7002
Pd1 Pd 0.5003 0.2189 0.0000
```

The 10 most intense peaks (2θ from 15° to 90°), by angle:
4.351 Å, I = 77; 4.301 Å, I = 64; 3.413 Å, I = 79; 2.753 Å, I = 41; 2.329 Å, I = 100; 2.322 Å, I = 97; 2.300 Å, I = 57; 2.270 Å, I = 67; 2.175 Å, I = 51; 2.150 Å, I = 43



10.
Structure and simulated powder diffractogram of Li3HgPd2 (a DFT-relaxed cell (PBE, Alexandria); Cu Kα (weighted mean of Kα1 and Kα2)).
Intensities are scaled so that the largest is 100.

Atomic structure:
```
data_Li3HgPd2
_chemical_formula_sum 'Li6 Hg2 Pd4'
_cell_length_a 4.3914
_cell_length_b 6.1132
_cell_length_c 6.9316
_cell_angle_alpha 90.00
_cell_angle_beta 107.70
_cell_angle_gamma 90.00
_symmetry_space_group_name_H-M 'P 1 2/m 1'
_symmetry_Int_Tables_number 10
_symmetry_space_group_name_Hall '-P 2y'
loop_
_atom_site_label
_atom_site_type_symbol
_atom_site_fract_x
_atom_site_fract_y
_atom_site_fract_z
Li1 Li 0.0000 0.2272 0.0000
Li2 Li 0.3373 0.2321 0.6732
Hg1 Hg 0.1569 0.5000 0.3176
Pd1 Pd 0.1691 0.0000 0.3383
Pd2 Pd 0.5000 0.0000 0.0000
Pd3 Pd 0.5000 0.5000 0.0000
```

The 10 most intense peaks (2θ from 15° to 90°), by angle:
3.130 Å, I = 100; 3.088 Å, I = 97; 3.057 Å, I = 95; 2.201 Å, I = 42; 2.195 Å, I = 44; 2.187 Å, I = 86; 2.172 Å, I = 84; 1.785 Å, I = 79; 1.393 Å, I = 26; 1.255 Å, I = 28



11.
Structure and simulated powder diffractogram of Li3HgPd2 (a DFT-relaxed cell (PBE, Alexandria); Cu Kα (weighted mean of Kα1 and Kα2)).
Intensities are scaled so that the largest is 100.

Atomic structure:
```
data_Li3HgPd2
_chemical_formula_sum 'Li12 Hg4 Pd8'
_cell_length_a 7.8665
_cell_length_b 10.6977
_cell_length_c 4.8277
_cell_angle_alpha 90.00
_cell_angle_beta 90.00
_cell_angle_gamma 90.00
_symmetry_space_group_name_H-M 'I m m a'
_symmetry_Int_Tables_number 74
_symmetry_space_group_name_Hall '-I 2b 2'
loop_
_atom_site_label
_atom_site_type_symbol
_atom_site_fract_x
_atom_site_fract_y
_atom_site_fract_z
Li1 Li 0.1763 0.0000 0.0000
Li2 Li 0.2500 0.2500 0.2500
Hg1 Hg 0.0000 0.2500 0.8823
Pd1 Pd 0.0000 0.1142 0.3980
```

The 10 most intense peaks (2θ from 15° to 90°), by angle:
5.349 Å, I = 32; 3.933 Å, I = 100; 3.261 Å, I = 42; 3.169 Å, I = 21; 2.868 Å, I = 31; 2.318 Å, I = 37; 2.256 Å, I = 63; 2.242 Å, I = 56; 1.752 Å, I = 39; 1.746 Å, I = 24



12.
Structure and simulated powder diffractogram of Li5Hg4Pd3 (a DFT-relaxed cell (PBE, Alexandria); Cu Kα (weighted mean of Kα1 and Kα2)).
Intensities are scaled so that the largest is 100.

Atomic structure:
```
data_Li5Hg4Pd3
_chemical_formula_sum 'Li10 Hg8 Pd6'
_cell_length_a 13.0155
_cell_length_b 4.8594
_cell_length_c 7.8589
_cell_angle_alpha 90.00
_cell_angle_beta 120.97
_cell_angle_gamma 90.00
_symmetry_space_group_name_H-M 'C 1 2/m 1'
_symmetry_Int_Tables_number 12
_symmetry_space_group_name_Hall '-C 2y'
loop_
_atom_site_label
_atom_site_type_symbol
_atom_site_fract_x
_atom_site_fract_y
_atom_site_fract_z
Li1 Li 0.0000 0.0000 0.0000
Li2 Li 0.0722 0.5000 0.7256
Li3 Li 0.1752 0.5000 0.3724
Hg1 Hg 0.0769 0.0000 0.4173
Hg2 Hg 0.2413 0.0000 0.8847
Pd1 Pd 0.0000 0.5000 0.0000
Pd2 Pd 0.2156 0.0000 0.2419
```

The 10 most intense peaks (2θ from 15° to 90°), by angle:
4.455 Å, I = 47; 4.127 Å, I = 51; 3.503 Å, I = 54; 3.408 Å, I = 49; 3.232 Å, I = 44; 3.000 Å, I = 46; 2.430 Å, I = 73; 2.296 Å, I = 67; 2.269 Å, I = 100; 1.515 Å, I = 40